Entry 1:
Simulated PXRD pattern
Compound: LiAlCl4
Radiation: copper Kα
Structure: the GGA-PBE geometry in the Materials Project
Intensities are scaled so that the largest is 100.

Main lines, by angle (2θ from 15° to 90°):
| 2θ (°) | I (rel.) |
| --- | --- |
| 18.0 | 56 |
| 18.7 | 31 |
| 25.9 | 46 |
| 26.8 | 70 |
| 29.3 | 84 |
| 29.8 | 90 |
| 30.1 | 100 |
| 31.1 | 90 |
| 46.3 | 52 |
| 47.9 | 27 |
| 51.8 | 31 |
| 53.7 | 29 |

Atomic structure:
abc: 7.056 6.875 13.168
angles: 90.00 92.62 90.00
Sites, in units of the cell vectors:
Li  0.154  0.020  0.368
Li  0.154  0.480  0.868
Li  0.846  0.520  0.132
Li  0.846  0.980  0.632
Al  0.293  0.175  0.601
Al  0.293  0.325  0.101
Al  0.707  0.675  0.899
Al  0.707  0.825  0.399
Cl  0.077  0.188  0.190
Cl  0.077  0.312  0.690
Cl  0.185  0.618  0.073
Cl  0.185  0.882  0.573
Cl  0.304  0.193  0.953
Cl  0.304  0.307  0.453
Cl  0.437  0.677  0.817
Cl  0.437  0.823  0.317
Cl  0.563  0.177  0.683
Cl  0.563  0.323  0.183
Cl  0.696  0.693  0.547
Cl  0.696  0.807  0.047
Cl  0.815  0.118  0.427
Cl  0.815  0.382  0.927
Cl  0.923  0.688  0.310
Cl  0.923  0.812  0.810



Entry 2:
Simulated PXRD pattern
Compound: Na2Li2Al3Si3ClO12
Radiation: copper Kα
Structure: the GGA-PBE geometry in the Materials Project
Intensities are scaled so that the largest is 100.

Main lines, by angle (2θ from 15° to 90°):
| 2θ (°) | I (rel.) |
| --- | --- |
| 20.3 | 14 |
| 24.9 | 100 |
| 35.6 | 27 |
| 38.5 | 25 |
| 43.9 | 16 |
| 46.4 | 7 |
| 48.8 | 7 |
| 59.8 | 20 |
| 61.9 | 7 |
| 63.9 | 7 |
| 65.8 | 9 |
| 71.6 | 7 |

Atomic structure:
abc: 8.741 8.741 8.752
angles: 90.00 90.00 90.00
Sites, in units of the cell vectors:
Na  0.162  0.664  0.085
Na  0.336  0.162  0.915
Na  0.664  0.838  0.915
Na  0.838  0.336  0.085
Li  0.187  0.311  0.438
Li  0.311  0.813  0.562
Li  0.689  0.187  0.562
Li  0.813  0.689  0.438
Al  0.000  0.000  0.000
Al  0.000  0.000  0.500
Al  0.250  0.499  0.744
Al  0.499  0.750  0.256
Al  0.501  0.250  0.256
Al  0.750  0.501  0.744
Si  0.002  0.248  0.744
Si  0.248  0.998  0.256
Si  0.500  0.500  0.000
Si  0.500  0.500  0.500
Si  0.752  0.002  0.256
Si  0.998  0.752  0.744
Cl  0.000  0.500  0.295
Cl  0.500  0.000  0.705
O  0.070  0.148  0.884
O  0.084  0.856  0.612
O  0.128  0.636  0.818
O  0.144  0.084  0.388
O  0.146  0.344  0.663
O  0.148  0.930  0.116
O  0.344  0.854  0.337
O  0.360  0.428  0.896
O  0.364  0.128  0.182
O  0.366  0.586  0.602
O  0.414  0.366  0.398
O  0.428  0.640  0.104
O  0.572  0.360  0.104
O  0.586  0.634  0.398
O  0.634  0.414  0.602
O  0.636  0.872  0.182
O  0.640  0.572  0.896
O  0.656  0.146  0.337
O  0.852  0.070  0.116
O  0.854  0.656  0.663
O  0.856  0.916  0.388
O  0.872  0.364  0.818
O  0.916  0.144  0.612
O  0.930  0.852  0.884



Entry 3:
Simulated PXRD pattern
Compound: LiAlS3Cl4O6
Radiation: copper Kα
Structure: the GGA-PBE geometry in the Materials Project
Intensities are scaled so that the largest is 100.

Main lines, by angle (2θ from 15° to 90°):
| 2θ (°) | I (rel.) |
| --- | --- |
| 19.3 | 51 |
| 21.2 | 24 |
| 23.5 | 54 |
| 26.0 | 73 |
| 26.7 | 52 |
| 26.9 | 21 |
| 27.6 | 79 |
| 27.7 | 36 |
| 28.4 | 53 |
| 30.6 | 100 |
| 32.7 | 29 |
| 34.0 | 34 |

Atomic structure:
abc: 9.760 10.249 13.697
angles: 90.00 90.00 90.00
Sites, in units of the cell vectors:
Li  0.125  0.250  0.246
Li  0.375  0.750  0.746
Li  0.625  0.250  0.254
Li  0.875  0.750  0.754
Al  0.239  0.250  0.629
Al  0.261  0.750  0.129
Al  0.739  0.250  0.871
Al  0.761  0.750  0.371
S  0.125  0.750  0.566
S  0.128  0.543  0.854
S  0.128  0.957  0.854
S  0.372  0.043  0.354
S  0.372  0.457  0.354
S  0.375  0.250  0.066
S  0.625  0.750  0.934
S  0.628  0.543  0.646
S  0.628  0.957  0.646
S  0.872  0.043  0.146
S  0.872  0.457  0.146
S  0.875  0.250  0.434
Cl  0.072  0.750  0.045
Cl  0.123  0.078  0.591
Cl  0.123  0.422  0.591
Cl  0.219  0.750  0.283
Cl  0.281  0.250  0.783
Cl  0.377  0.578  0.091
Cl  0.377  0.922  0.091
Cl  0.428  0.250  0.545
Cl  0.572  0.750  0.455
Cl  0.623  0.078  0.909
Cl  0.623  0.422  0.909
Cl  0.719  0.750  0.217
Cl  0.781  0.250  0.717
Cl  0.877  0.578  0.409
Cl  0.877  0.922  0.409
Cl  0.928  0.250  0.955
O  0.003  0.092  0.181
O  0.003  0.408  0.181
O  0.006  0.750  0.629
O  0.241  0.250  0.112
O  0.250  0.106  0.317
O  0.250  0.394  0.317
O  0.250  0.606  0.817
O  0.250  0.894  0.817
O  0.259  0.750  0.612
O  0.494  0.250  0.129
O  0.497  0.592  0.681
O  0.497  0.908  0.681
O  0.503  0.092  0.319
O  0.503  0.408  0.319
O  0.506  0.750  0.871
O  0.741  0.250  0.388
O  0.750  0.106  0.183
O  0.750  0.394  0.183
O  0.750  0.606  0.683
O  0.750  0.894  0.683
O  0.759  0.750  0.888
O  0.994  0.250  0.371
O  0.997  0.592  0.819
O  0.997  0.908  0.819



Entry 4:
Simulated PXRD pattern
Compound: MgAl2Cl8
Radiation: copper Kα
Structure: the GGA-PBE geometry in the Materials Project
Intensities are scaled so that the largest is 100.

Main lines, by angle (2θ from 15° to 90°):
| 2θ (°) | I (rel.) |
| --- | --- |
| 18.1 | 22 |
| 18.6 | 35 |
| 25.2 | 41 |
| 25.3 | 19 |
| 25.5 | 28 |
| 29.2 | 85 |
| 29.8 | 100 |
| 30.4 | 15 |
| 30.6 | 41 |
| 40.5 | 19 |
| 44.1 | 20 |
| 44.7 | 41 |

Atomic structure:
abc: 9.809 9.809 11.696
angles: 124.31 124.31 49.47
Sites, in units of the cell vectors:
Mg  0.002  0.998  0.750
Mg  0.998  0.002  0.250
Al  0.159  0.669  0.968
Al  0.331  0.841  0.532
Al  0.669  0.159  0.468
Al  0.841  0.331  0.032
Cl  0.122  0.176  0.013
Cl  0.142  0.689  0.783
Cl  0.161  0.719  0.328
Cl  0.176  0.122  0.513
Cl  0.281  0.839  0.172
Cl  0.307  0.383  0.951
Cl  0.311  0.858  0.717
Cl  0.383  0.307  0.451
Cl  0.617  0.693  0.549
Cl  0.689  0.142  0.283
Cl  0.693  0.617  0.049
Cl  0.719  0.161  0.828
Cl  0.824  0.878  0.487
Cl  0.839  0.281  0.672
Cl  0.858  0.311  0.217
Cl  0.878  0.824  0.987



Entry 5:
Simulated PXRD pattern
Compound: AlN4Cl4
Radiation: copper Kα
Structure: the GGA-PBE geometry in the Materials Project
Intensities are scaled so that the largest is 100.

Main lines, by angle (2θ from 15° to 90°):
| 2θ (°) | I (rel.) |
| --- | --- |
| 20.8 | 15 |
| 25.9 | 7 |
| 27.1 | 6 |
| 28.1 | 100 |
| 29.3 | 15 |
| 30.6 | 19 |
| 33.9 | 12 |
| 35.9 | 41 |
| 40.0 | 6 |
| 44.0 | 19 |
| 58.1 | 13 |
| 59.9 | 6 |

Atomic structure:
abc: 9.697 9.697 4.074
angles: 96.66 96.66 62.09
Sites, in units of the cell vectors:
Al  0.000  0.000  0.000
Al  0.500  0.500  0.500
N  0.000  0.500  0.500
N  0.104  0.104  0.851
N  0.200  0.800  0.000
N  0.404  0.404  0.209
N  0.500  0.000  0.500
N  0.596  0.596  0.791
N  0.800  0.200  0.000
N  0.896  0.896  0.149
Cl  0.000  0.500  0.000
Cl  0.125  0.125  0.473
Cl  0.244  0.756  0.500
Cl  0.384  0.384  0.803
Cl  0.500  0.000  0.000
Cl  0.616  0.616  0.197
Cl  0.756  0.244  0.500
Cl  0.875  0.875  0.527



Entry 6:
Simulated PXRD pattern
Compound: AlPNCl5
Radiation: copper Kα
Structure: the GGA-PBE geometry in the Materials Project
Intensities are scaled so that the largest is 100.

Main lines, by angle (2θ from 15° to 90°):
| 2θ (°) | I (rel.) |
| --- | --- |
| 17.8 | 26 |
| 21.0 | 29 |
| 21.3 | 24 |
| 21.6 | 33 |
| 22.5 | 16 |
| 24.9 | 100 |
| 25.8 | 16 |
| 29.3 | 34 |
| 30.1 | 17 |
| 31.1 | 22 |
| 31.4 | 47 |
| 33.2 | 19 |

Atomic structure:
abc: 7.408 8.700 8.803
angles: 64.19 76.73 67.88
Sites, in units of the cell vectors:
Al  0.082  0.434  0.374
Al  0.918  0.566  0.626
P  0.285  0.214  0.722
P  0.715  0.786  0.278
N  0.132  0.370  0.600
N  0.868  0.630  0.400
Cl  0.004  0.759  0.655
Cl  0.262  0.969  0.797
Cl  0.270  0.247  0.936
Cl  0.307  0.509  0.188
Cl  0.438  0.815  0.375
Cl  0.562  0.185  0.625
Cl  0.693  0.491  0.812
Cl  0.730  0.753  0.064
Cl  0.738  0.031  0.203
Cl  0.996  0.241  0.345